(1)
This entry pairs a crystal structure of Ac5Te4Se with its theoretical powder diffraction line list. Radiation: Cu Kα, 1.54184 Å. Structure: a structure optimized by DFT (GGA-PBE).

Peak list (10 most intense, 10° ≤ 2θ ≤ 90°, most intense first)
| two_theta | d (Å) | intensity |
| --- | --- | --- |
| 26.9 | 3.309 | 100.0 |
| 38.7 | 2.326 | 39.7 |
| 38.2 | 2.354 | 37.1 |
| 47.8 | 1.903 | 21.4 |
| 63.1 | 1.473 | 18.7 |
| 62.5 | 1.487 | 15.8 |
| 23.4 | 3.806 | 13.5 |
| 69.8 | 1.348 | 13.1 |
| 55.5 | 1.655 | 13.0 |
| 89.3 | 1.097 | 7.7 |

Atomic structure:
Cell: 19.523 19.523 19.523 Å, 13.69 13.69 13.69°
Sites, in units of the cell vectors:
1 Ac 0.000 0.000 0.000
2 Ac 0.196 0.196 0.196
3 Ac 0.402 0.402 0.402
4 Ac 0.598 0.598 0.598
5 Ac 0.804 0.804 0.804
6 Te 0.103 0.103 0.103
7 Te 0.299 0.299 0.299
8 Te 0.701 0.701 0.701
9 Te 0.897 0.897 0.897
10 Se 0.500 0.500 0.500

=====

(2)
This entry pairs a crystal structure of PrNi4Sb2 with its theoretical powder diffraction line list. Radiation: Cu Kα, 1.54184 Å. Structure: a structure optimized by DFT (GGA-PBE).

Peak list (10 most intense, 10° ≤ 2θ ≤ 90°, most intense first)
| two_theta | d (Å) | intensity |
| --- | --- | --- |
| 34.2 | 2.622 | 100.0 |
| 43.3 | 2.087 | 96.5 |
| 32.8 | 2.727 | 51.5 |
| 44.9 | 2.018 | 40.9 |
| 39.9 | 2.259 | 38.6 |
| 36.9 | 2.439 | 33.7 |
| 27.5 | 3.244 | 24.6 |
| 64.7 | 1.441 | 22.4 |
| 48.7 | 1.870 | 22.3 |
| 69.7 | 1.350 | 21.5 |

Atomic structure:
Cell: 7.712 7.712 4.036 Å, 90.00 90.00 90.00°
Sites, in units of the cell vectors:
1 Pr 0.000 0.000 0.000
2 Pr 0.500 0.500 0.500
3 Ni 0.088 0.361 0.500
4 Ni 0.139 0.588 0.000
5 Ni 0.361 0.088 0.500
6 Ni 0.412 0.861 0.000
7 Ni 0.588 0.139 0.000
8 Ni 0.639 0.912 0.500
9 Ni 0.861 0.412 0.000
10 Ni 0.912 0.639 0.500
11 Sb 0.219 0.781 0.500
12 Sb 0.281 0.281 0.000
13 Sb 0.719 0.719 0.000
14 Sb 0.781 0.219 0.500

=====

(3)
This entry pairs a crystal structure of Mg2Zn2InNi5 with its theoretical powder diffraction line list. Radiation: Cu Kα, 1.54184 Å. Structure: a structure optimized by DFT (GGA-PBE).

Peak list (10 most intense, 10° ≤ 2θ ≤ 90°, most intense first)
| two_theta | d (Å) | intensity |
| --- | --- | --- |
| 40.6 | 2.221 | 100.0 |
| 44.5 | 2.036 | 37.8 |
| 22.5 | 3.951 | 32.8 |
| 49.8 | 1.831 | 22.2 |
| 37.9 | 2.376 | 22.1 |
| 20.1 | 4.417 | 20.4 |
| 42.2 | 2.143 | 18.0 |
| 45.9 | 1.975 | 17.3 |
| 87.1 | 1.118 | 10.0 |
| 70.1 | 1.343 | 9.1 |

Atomic structure:
Cell: 8.834 8.834 3.662 Å, 90.00 90.00 90.00°
Sites, in units of the cell vectors:
1 Mg 0.174 0.326 0.000
2 Mg 0.326 0.826 0.000
3 Mg 0.674 0.174 0.000
4 Mg 0.826 0.674 0.000
5 Zn 0.122 0.622 0.000
6 Zn 0.378 0.122 0.000
7 Zn 0.622 0.878 0.000
8 Zn 0.878 0.378 0.000
9 In 0.000 0.000 0.000
10 In 0.500 0.500 0.000
11 Ni 0.000 0.500 0.500
12 Ni 0.070 0.793 0.500
13 Ni 0.207 0.070 0.500
14 Ni 0.293 0.570 0.500
15 Ni 0.430 0.293 0.500
16 Ni 0.500 0.000 0.500
17 Ni 0.570 0.707 0.500
18 Ni 0.707 0.430 0.500
19 Ni 0.793 0.930 0.500
20 Ni 0.930 0.207 0.500

=====

(4)
This entry pairs a crystal structure of CsBa2Pb with its theoretical powder diffraction line list. Radiation: Cu Kα, 1.54184 Å. Structure: a structure optimized by DFT (GGA-PBE).

Peak list (10 most intense, 10° ≤ 2θ ≤ 90°, most intense first)
| two_theta | d (Å) | intensity |
| --- | --- | --- |
| 23.5 | 3.784 | 100.0 |
| 31.9 | 2.805 | 66.2 |
| 30.0 | 2.978 | 36.5 |
| 52.1 | 1.757 | 29.2 |
| 64.8 | 1.439 | 27.8 |
| 40.0 | 2.253 | 25.0 |
| 19.2 | 4.625 | 25.0 |
| 43.2 | 2.093 | 23.8 |
| 33.2 | 2.702 | 18.7 |
| 17.6 | 5.026 | 18.6 |

Atomic structure:
Cell: 10.561 10.561 10.561 Å, 30.81 30.81 30.81°
Sites, in units of the cell vectors:
1 Cs 0.000 0.000 0.000
2 Ba 0.548 0.548 0.548
3 Ba 0.784 0.784 0.784
4 Pb 0.165 0.165 0.165

=====

(5)
This entry pairs a crystal structure of Na2SmSi2O6 with its theoretical powder diffraction line list. Radiation: Cu Kα, 1.54184 Å. Structure: a structure optimized by DFT (GGA-PBE).

Peak list (10 most intense, 10° ≤ 2θ ≤ 90°, most intense first)
| two_theta | d (Å) | intensity |
| --- | --- | --- |
| 12.1 | 7.339 | 100.0 |
| 21.9 | 4.066 | 95.3 |
| 30.5 | 2.934 | 77.8 |
| 31.7 | 2.820 | 36.6 |
| 34.1 | 2.633 | 29.6 |
| 18.2 | 4.885 | 25.9 |
| 44.6 | 2.033 | 25.4 |
| 55.7 | 1.649 | 24.0 |
| 49.3 | 1.847 | 23.2 |
| 38.9 | 2.317 | 20.9 |

Atomic structure:
Cell: 5.640 5.640 7.339 Å, 90.00 90.00 120.00°
Sites, in units of the cell vectors:
1 Na 0.333 0.667 0.299
2 Na 0.667 0.333 0.701
3 Sm 0.000 0.000 0.000
4 Si 0.333 0.667 0.789
5 Si 0.667 0.333 0.211
6 O 0.069 0.700 0.814
7 O 0.300 0.369 0.814
8 O 0.369 0.069 0.186
9 O 0.631 0.931 0.814
10 O 0.700 0.631 0.186
11 O 0.931 0.300 0.186

=====

(6)
This entry pairs a crystal structure of W7C5 with its theoretical powder diffraction line list. Radiation: Cu Kα, 1.54184 Å. Structure: a structure optimized by DFT (GGA-PBE).

Peak list (10 most intense, 10° ≤ 2θ ≤ 90°, most intense first)
| two_theta | d (Å) | intensity |
| --- | --- | --- |
| 30.4 | 2.941 | 100.0 |
| 45.6 | 1.990 | 70.9 |
| 45.9 | 1.978 | 54.9 |
| 23.5 | 3.779 | 54.8 |
| 48.2 | 1.889 | 47.7 |
| 34.4 | 2.604 | 43.7 |
| 19.0 | 4.682 | 39.4 |
| 48.8 | 1.865 | 20.3 |
| 88.1 | 1.109 | 19.2 |
| 71.0 | 1.327 | 16.7 |

Atomic structure:
Cell: 6.120 6.120 6.120 Å, 103.74 103.74 121.66°
Sites, in units of the cell vectors:
1 W 0.000 0.000 0.000
2 W 0.169 0.669 0.500
3 W 0.196 0.431 0.765
4 W 0.431 0.196 0.765
5 W 0.431 0.666 0.235
6 W 0.666 0.431 0.235
7 W 0.669 0.169 0.500
8 C 0.344 0.344 0.391
9 C 0.344 0.953 0.000
10 C 0.663 0.663 0.000
11 C 0.953 0.344 0.000
12 C 0.953 0.953 0.609

=====

(7)
This entry pairs a crystal structure of ThScCdCu with its theoretical powder diffraction line list. Radiation: Cu Kα, 1.54184 Å. Structure: a structure optimized by DFT (GGA-PBE).

Peak list (10 most intense, 10° ≤ 2θ ≤ 90°, most intense first)
| two_theta | d (Å) | intensity |
| --- | --- | --- |
| 35.1 | 2.560 | 100.0 |
| 28.7 | 3.106 | 52.0 |
| 37.6 | 2.393 | 47.7 |
| 11.3 | 7.831 | 32.8 |
| 66.2 | 1.412 | 30.5 |
| 65.7 | 1.421 | 22.5 |
| 54.2 | 1.692 | 20.8 |
| 51.8 | 1.764 | 19.7 |
| 34.4 | 2.610 | 15.7 |
| 61.2 | 1.515 | 13.2 |

Atomic structure:
Cell: 3.384 3.384 7.831 Å, 90.00 90.00 90.00°
Sites, in units of the cell vectors:
1 Th 0.000 0.000 0.000
2 Sc 0.000 0.000 0.557
3 Cd 0.500 0.500 0.309
4 Cu 0.500 0.500 0.736

=====

(8)
This entry pairs a crystal structure of BaMgOs2O8 with its theoretical powder diffraction line list. Radiation: Cu Kα, 1.54184 Å. Structure: a structure optimized by DFT (GGA-PBE).

Peak list (10 most intense, 10° ≤ 2θ ≤ 90°, most intense first)
| two_theta | d (Å) | intensity |
| --- | --- | --- |
| 21.5 | 4.126 | 100.0 |
| 31.1 | 2.873 | 43.3 |
| 30.2 | 2.964 | 33.7 |
| 50.0 | 1.823 | 22.0 |
| 40.9 | 2.205 | 15.2 |
| 43.9 | 2.063 | 15.2 |
| 59.6 | 1.552 | 14.6 |
| 38.2 | 2.358 | 14.5 |
| 54.8 | 1.676 | 14.0 |
| 55.4 | 1.659 | 9.2 |

Atomic structure:
Cell: 5.747 5.747 7.379 Å, 90.00 90.00 120.00°
Sites, in units of the cell vectors:
1 Ba 0.000 0.000 0.000
2 Mg 0.000 0.000 0.500
3 Os 0.333 0.667 0.738
4 Os 0.667 0.333 0.262
5 O 0.115 0.317 0.681
6 O 0.202 0.885 0.681
7 O 0.317 0.202 0.319
8 O 0.333 0.667 0.984
9 O 0.667 0.333 0.016
10 O 0.683 0.798 0.681
11 O 0.798 0.115 0.319
12 O 0.885 0.683 0.319

=====

(9)
This entry pairs a crystal structure of B2O3 with its theoretical powder diffraction line list. Radiation: Cu Kα, 1.54184 Å. Structure: a structure optimized by DFT (GGA-PBE).

Peak list (10 most intense, 10° ≤ 2θ ≤ 90°, most intense first)
| two_theta | d (Å) | intensity |
| --- | --- | --- |
| 31.0 | 2.884 | 100.0 |
| 25.5 | 3.499 | 59.5 |
| 42.3 | 2.136 | 35.7 |
| 38.7 | 2.328 | 32.4 |
| 64.7 | 1.442 | 11.3 |
| 57.6 | 1.600 | 11.1 |
| 52.3 | 1.750 | 9.5 |
| 46.1 | 1.969 | 8.6 |
| 30.4 | 2.939 | 7.4 |
| 47.7 | 1.908 | 6.2 |

Atomic structure:
Cell: 4.402 4.402 8.816 Å, 90.00 90.00 120.00°
Sites, in units of the cell vectors:
1 B 0.185 0.404 0.391
2 B 0.219 0.815 0.057
3 B 0.404 0.185 0.609
4 B 0.596 0.781 0.724
5 B 0.781 0.596 0.276
6 B 0.815 0.219 0.943
7 O 0.000 0.821 0.167
8 O 0.124 0.534 0.962
9 O 0.179 0.179 0.500
10 O 0.410 0.876 0.629
11 O 0.466 0.590 0.296
12 O 0.534 0.124 0.038
13 O 0.590 0.466 0.704
14 O 0.821 0.000 0.833
15 O 0.876 0.410 0.371

=====

(10)
This entry pairs a crystal structure of RbTi2PtO6 with its theoretical powder diffraction line list. Radiation: Cu Kα, 1.54184 Å. Structure: a structure optimized by DFT (GGA-PBE).

Peak list (10 most intense, 10° ≤ 2θ ≤ 90°, most intense first)
| two_theta | d (Å) | intensity |
| --- | --- | --- |
| 17.0 | 5.226 | 100.0 |
| 25.4 | 3.507 | 87.9 |
| 24.6 | 3.613 | 86.3 |
| 30.8 | 2.899 | 51.0 |
| 32.3 | 2.771 | 48.0 |
| 35.4 | 2.534 | 47.7 |
| 31.1 | 2.878 | 47.1 |
| 15.3 | 5.797 | 46.6 |
| 36.4 | 2.467 | 46.0 |
| 19.2 | 4.621 | 44.0 |

Atomic structure:
Cell: 7.897 7.897 6.357 Å, 110.14 110.14 71.64°
Sites, in units of the cell vectors:
1 Rb 0.114 0.886 0.750
2 Rb 0.886 0.114 0.250
3 Ti 0.154 0.361 0.800
4 Ti 0.361 0.154 0.300
5 Ti 0.639 0.846 0.700
6 Ti 0.846 0.639 0.200
7 Pt 0.271 0.729 0.250
8 Pt 0.729 0.271 0.750
9 O 0.098 0.629 0.308
10 O 0.181 0.597 0.918
11 O 0.230 0.252 0.520
12 O 0.252 0.230 0.020
13 O 0.371 0.902 0.192
14 O 0.403 0.819 0.582
15 O 0.597 0.181 0.418
16 O 0.629 0.098 0.808
17 O 0.748 0.770 0.980
18 O 0.770 0.748 0.480
19 O 0.819 0.403 0.082
20 O 0.902 0.371 0.692

=====

(11)
This entry pairs a crystal structure of KSi8 with its theoretical powder diffraction line list. Radiation: Cu Kα, 1.54184 Å. Structure: a structure optimized by DFT (GGA-PBE).

Peak list (10 most intense, 10° ≤ 2θ ≤ 90°, most intense first)
| two_theta | d (Å) | intensity |
| --- | --- | --- |
| 29.0 | 3.079 | 100.0 |
| 37.6 | 2.390 | 67.0 |
| 32.4 | 2.761 | 62.2 |
| 44.2 | 2.051 | 56.2 |
| 34.2 | 2.622 | 53.6 |
| 20.8 | 4.262 | 50.1 |
| 14.4 | 6.158 | 42.3 |
| 18.3 | 4.836 | 38.8 |
| 38.3 | 2.351 | 34.5 |
| 44.5 | 2.037 | 30.6 |

Atomic structure:
Cell: 6.331 6.331 5.033 Å, 100.71 100.71 95.92°
Sites, in units of the cell vectors:
1 K 0.000 0.000 0.000
2 Si 0.021 0.506 0.269
3 Si 0.340 0.660 0.000
4 Si 0.390 0.390 0.298
5 Si 0.494 0.979 0.731
6 Si 0.506 0.021 0.269
7 Si 0.610 0.610 0.702
8 Si 0.660 0.340 0.000
9 Si 0.979 0.494 0.731

=====

(12)
This entry pairs a crystal structure of Na4Pu3TeSe8 with its theoretical powder diffraction line list. Radiation: Cu Kα, 1.54184 Å. Structure: a structure optimized by DFT (GGA-PBE).

Peak list (10 most intense, 10° ≤ 2θ ≤ 90°, most intense first)
| two_theta | d (Å) | intensity |
| --- | --- | --- |
| 12.7 | 6.965 | 100.0 |
| 30.1 | 2.969 | 96.1 |
| 42.2 | 2.143 | 73.6 |
| 28.8 | 3.097 | 52.3 |
| 24.8 | 3.590 | 33.5 |
| 24.0 | 3.706 | 19.5 |
| 52.8 | 1.735 | 19.3 |
| 52.6 | 1.741 | 18.5 |
| 43.2 | 2.095 | 18.1 |
| 43.0 | 2.105 | 17.4 |

Atomic structure:
Cell: 8.578 8.578 8.419 Å, 119.34 119.34 58.47°
Sites, in units of the cell vectors:
1 Na 0.000 0.000 0.000
2 Na 0.000 0.500 0.000
3 Na 0.500 0.000 0.000
4 Na 0.500 0.500 0.000
5 Pu 0.000 0.000 0.500
6 Pu 0.000 0.500 0.500
7 Pu 0.500 0.000 0.500
8 Te 0.500 0.500 0.500
9 Se 0.231 0.231 0.250
10 Se 0.239 0.239 0.729
11 Se 0.247 0.733 0.724
12 Se 0.267 0.753 0.276
13 Se 0.733 0.247 0.724
14 Se 0.753 0.267 0.276
15 Se 0.761 0.761 0.271
16 Se 0.769 0.769 0.750

=====

(13)
This entry pairs a crystal structure of Mn2TcWN with its theoretical powder diffraction line list. Radiation: Cu Kα, 1.54184 Å. Structure: a structure optimized by DFT (GGA-PBE).

Peak list (10 most intense, 10° ≤ 2θ ≤ 90°, most intense first)
| two_theta | d (Å) | intensity |
| --- | --- | --- |
| 40.2 | 2.245 | 100.0 |
| 47.8 | 1.904 | 34.1 |
| 67.4 | 1.389 | 23.4 |
| 83.8 | 1.155 | 23.2 |
| 44.6 | 2.032 | 21.0 |
| 33.3 | 2.693 | 19.3 |
| 21.9 | 4.064 | 19.1 |
| 79.1 | 1.210 | 13.3 |
| 23.4 | 3.809 | 12.4 |
| 86.8 | 1.122 | 11.8 |

Atomic structure:
Cell: 3.809 3.809 4.064 Å, 90.00 90.00 90.00°
Sites, in units of the cell vectors:
1 Mn 0.000 0.500 0.000
2 Mn 0.500 0.000 0.000
3 Tc 0.000 0.000 0.500
4 W 0.500 0.500 0.500
5 N 0.500 0.500 0.000